No. 1
Simulated PXRD pattern
Compound: Ce2Ga5Ir3
Radiation: Cu Kα
Structure: a crystal structure in Alexandria, relaxed with PBE
Lines closer than 0.1° are merged.

Peak list (8 most intense, 2θ from 10° to 90°, in order of falling intensity)
2θ 33.88, d 2.646, I = 100
2θ 42.24, d 2.139, I = 73
2θ 35.85, d 2.505, I = 48
2θ 22.69, d 3.919, I = 43
2θ 33.23, d 2.696, I = 42
2θ 39.59, d 2.277, I = 29
2θ 33.05, d 2.710, I = 28
2θ 53.41, d 1.715, I = 23

Structural model:
Unit cell a=8.633 b=8.633 c=8.633 alpha=108.37 beta=84.73 gamma=140.96
Fractional positions:
Ce1 0.141 0.225 0.366
Ce2 0.359 0.725 0.083
Ce3 0.641 0.275 0.917
Ce4 0.859 0.775 0.634
Ga1 0.045 0.750 0.295
Ga2 0.088 0.671 0.759
Ga3 0.250 0.250 0.000
Ga4 0.412 0.171 0.584
Ga5 0.455 0.750 0.705
Ga6 0.545 0.250 0.295
Ga7 0.588 0.829 0.416
Ga8 0.750 0.750 0.000
Ga9 0.912 0.329 0.241
Ga10 0.955 0.250 0.705
Ir1 0.150 0.902 0.053
Ir2 0.250 0.750 0.500
Ir3 0.350 0.402 0.752
Ir4 0.650 0.598 0.248
Ir5 0.750 0.250 0.500
Ir6 0.850 0.098 0.947

---

No. 2
Simulated PXRD pattern
Compound: Y12Tm7Tl
Radiation: Cu Kα
Structure: a crystal structure in Alexandria, relaxed with PBE
Lines closer than 0.1° are merged.

Peak list (8 most intense, 2θ from 10° to 90°, in order of falling intensity)
2θ 31.51, d 2.840, I = 100
2θ 34.27, d 2.617, I = 51
2θ 32.25, d 2.776, I = 46
2θ 31.08, d 2.877, I = 41
2θ 36.80, d 2.442, I = 27
2θ 57.13, d 1.612, I = 18
2θ 26.43, d 3.372, I = 17
2θ 10.62, d 8.328, I = 17

Structural model:
Unit cell a=8.735 b=8.735 c=8.735 alpha=101.07 beta=101.07 gamma=101.07
Fractional positions:
Y1 0.000 0.260 0.740
Y2 0.000 0.740 0.260
Y3 0.159 0.160 0.420
Y4 0.160 0.420 0.159
Y5 0.260 0.000 0.740
Y6 0.260 0.740 0.000
Y7 0.420 0.159 0.160
Y8 0.580 0.841 0.840
Y9 0.740 0.000 0.260
Y10 0.740 0.260 0.000
Y11 0.840 0.580 0.841
Y12 0.841 0.840 0.580
Tm1 0.000 0.000 0.000
Tm2 0.179 0.596 0.596
Tm3 0.404 0.404 0.821
Tm4 0.404 0.821 0.404
Tm5 0.596 0.179 0.596
Tm6 0.596 0.596 0.179
Tm7 0.821 0.404 0.404
Tl1 0.500 0.500 0.500

---

No. 3
Simulated PXRD pattern
Compound: Pr2ErIn9
Radiation: Cu Kα
Structure: a crystal structure in Alexandria, relaxed with PBE
Lines closer than 0.1° are merged.

Peak list (8 most intense, 2θ from 10° to 90°, in order of falling intensity)
2θ 33.00, d 2.714, I = 100
2θ 38.29, d 2.351, I = 50
2θ 55.26, d 1.662, I = 33
2θ 65.85, d 1.418, I = 26
2θ 65.98, d 1.416, I = 13
2θ 69.23, d 1.357, I = 11
2θ 81.89, d 1.176, I = 4
2θ 82.14, d 1.173, I = 2

Structural model:
Unit cell a=4.705 b=4.705 c=14.081 alpha=90.00 beta=90.00 gamma=90.00
Fractional positions:
Pr1 0.000 0.000 0.169
Pr2 0.000 0.000 0.831
Er1 0.000 0.000 0.500
In1 0.000 0.500 0.000
In2 0.000 0.500 0.339
In3 0.000 0.500 0.661
In4 0.500 0.000 0.000
In5 0.500 0.000 0.339
In6 0.500 0.000 0.661
In7 0.500 0.500 0.167
In8 0.500 0.500 0.500
In9 0.500 0.500 0.833

---

No. 4
Simulated PXRD pattern
Compound: Ga2Cu2Pb
Radiation: Cu Kα
Structure: a crystal structure in Alexandria, relaxed with PBE
Lines closer than 0.1° are merged.

Peak list (8 most intense, 2θ from 10° to 90°, in order of falling intensity)
2θ 35.94, d 2.499, I = 100
2θ 32.29, d 2.772, I = 65
2θ 44.81, d 2.022, I = 43
2θ 46.58, d 1.950, I = 40
2θ 66.63, d 1.404, I = 26
2θ 57.82, d 1.595, I = 25
2θ 79.39, d 1.207, I = 20
2θ 32.47, d 2.757, I = 17

Structural model:
Unit cell a=6.525 b=6.525 c=6.525 alpha=145.23 beta=145.23 gamma=49.99
Fractional positions:
Ga1 0.250 0.750 0.500
Ga2 0.750 0.250 0.500
Cu1 0.108 0.108 0.000
Cu2 0.892 0.892 0.000
Pb1 0.500 0.500 0.000

---

No. 5
Simulated PXRD pattern
Compound: Ho2Er6Tm5
Radiation: Cu Kα
Structure: a crystal structure in Alexandria, relaxed with PBE
Lines closer than 0.1° are merged.

Peak list (8 most intense, 2θ from 10° to 90°, in order of falling intensity)
2θ 32.77, d 2.733, I = 100
2θ 32.53, d 2.752, I = 97
2θ 31.54, d 2.836, I = 55
2θ 32.13, d 2.786, I = 51
2θ 34.94, d 2.568, I = 35
2θ 58.00, d 1.590, I = 33
2θ 37.28, d 2.412, I = 32
2θ 62.61, d 1.484, I = 31

Structural model:
Unit cell a=11.463 b=19.844 c=3.523 alpha=90.00 beta=90.00 gamma=90.00
Fractional positions:
Ho1 0.165 0.210 0.000
Ho2 0.335 0.710 0.000
Ho3 0.665 0.290 0.000
Ho4 0.835 0.790 0.000
Er1 0.058 0.919 0.000
Er2 0.084 0.631 0.000
Er3 0.172 0.366 0.500
Er4 0.328 0.866 0.500
Er5 0.416 0.131 0.000
Er6 0.442 0.419 0.000
Er7 0.558 0.581 0.000
Er8 0.584 0.869 0.000
Er9 0.672 0.134 0.500
Er10 0.828 0.634 0.500
Er11 0.916 0.369 0.000
Er12 0.942 0.081 0.000
Tm1 0.000 0.500 0.500
Tm2 0.092 0.773 0.500
Tm3 0.198 0.050 0.500
Tm4 0.302 0.550 0.500
Tm5 0.408 0.273 0.500
Tm6 0.500 0.000 0.500
Tm7 0.592 0.727 0.500
Tm8 0.698 0.450 0.500
Tm9 0.802 0.950 0.500
Tm10 0.908 0.227 0.500

---

No. 6
Simulated PXRD pattern
Compound: LaY2Hg8
Radiation: Cu Kα
Structure: a crystal structure in Alexandria, relaxed with PBE
Lines closer than 0.1° are merged.

Peak list (8 most intense, 2θ from 10° to 90°, in order of falling intensity)
2θ 34.90, d 2.570, I = 100
2θ 34.68, d 2.587, I = 31
2θ 35.84, d 2.505, I = 24
2θ 62.30, d 1.490, I = 19
2θ 50.73, d 1.800, I = 18
2θ 31.86, d 2.809, I = 18
2θ 63.81, d 1.459, I = 13
2θ 24.16, d 3.683, I = 12

Structural model:
Unit cell a=8.756 b=8.756 c=8.756 alpha=145.64 beta=130.41 gamma=61.73
Fractional positions:
La1 0.000 0.000 0.000
Y1 0.312 0.312 0.000
Y2 0.688 0.688 0.000
Hg1 0.130 0.844 0.285
Hg2 0.157 0.657 0.500
Hg3 0.295 0.500 0.795
Hg4 0.441 0.156 0.285
Hg5 0.559 0.844 0.715
Hg6 0.705 0.500 0.205
Hg7 0.843 0.343 0.500
Hg8 0.870 0.156 0.715

---

Q: What is the formula in the third record?
A: Pr2ErIn9